Diffraction record for TcPtAu2. The X-ray powder pattern is theoretical, not measured: it uses DFT lattice parameters and positions (GGA-PBE) and CuKα.
Neutral-atom scattering factors, no anomalous dispersion.

Main lines, in order of rising 2θ (2θ = 10–90°):
38.03 deg, rel. 51.8; 38.77 deg, rel. 100.0; 38.92 deg, rel. 49.7; 43.13 deg, rel. 35.2; 45.76 deg, rel. 63.5; 64.08 deg, rel. 21.3; 65.30 deg, rel. 21.1; 79.84 deg, rel. 12.4; 80.11 deg, rel. 12.5; 80.39 deg, rel. 12.5

Crystal structure
Lattice parameters (Å, degrees): 4.880 4.880 5.111 97.84 97.84 33.21
Fractional coordinates of all 4 atoms:
Tc  0.000  0.000  0.000
Pt  0.740  0.740  0.196
Au  0.251  0.251  0.721
Au  0.495  0.495  0.480